(1)
Structure and computed powder XRD pattern of BaErAgF6 (DFT lattice parameters and positions (PBE); Cu Kα, 1.54184 Å).

Largest 10 diffraction maxima, in order of falling intensity, 2θ from 10° to 80°:
hkl 1 0 2, 23.22 deg, I = 100; hkl 1 1 4, 44.06 deg, I = 52; hkl 1 1 0, 29.28 deg, I = 47; hkl 2 0 2, 37.70 deg, I = 28; hkl 2 1 2, 48.43 deg, I = 27; hkl 3 0 0, 51.92 deg, I = 20; hkl 0 0 2, 15.93 deg, I = 16; hkl 1 1 2, 33.50 deg, I = 15; hkl 4 -2 4, 70.41 deg, I = 12; hkl 4 -1 2, 65.92 deg, I = 11

Crystal structure
a = 6.1008 Å, b = 6.1008 Å, c = 11.1248 Å
α = 90.00°, β = 90.00°, γ = 120.00°
Space group P-31c (No. 163)
Symmetry-distinct sites (fractional):
Ba1 0.0000 0.0000 0.0000 (multiplicity 2)
Er1 0.3333 0.6667 0.2500 (multiplicity 2)
Ag1 0.3333 0.6667 0.7500 (multiplicity 2)
F1 0.0422 0.3701 0.1397 (multiplicity 12)

---

(2)
Structure and computed powder XRD pattern of Th3Si2Se (DFT lattice parameters and positions (PBE); Cu Kα, 1.54184 Å).

Largest 10 diffraction maxima, in order of falling intensity, 2θ from 10° to 80°:
hkl 0 3 2, 30.54 deg, I = 100; hkl 1 3 0, 25.64 deg, I = 86; hkl 2 0 0, 31.24 deg, I = 50; hkl 1 3 -2, 31.44 deg, I = 41; hkl 2 3 -2, 39.41 deg, I = 37; hkl 1 0 -2, 23.74 deg, I = 32; hkl 0 6 0, 41.30 deg, I = 30; hkl 1 0 2, 30.79 deg, I = 25; hkl 2 6 0, 52.68 deg, I = 24; hkl 2 3 2, 48.71 deg, I = 22

Crystal structure
a = 5.943 Å, b = 13.115 Å, c = 8.178 Å
α = 90.00°, β = 105.51°, γ = 90.00°
Space group P2_1/c (No. 14)
Symmetry-distinct sites (fractional):
Th1 0.182 0.089 0.157 (multiplicity 4)
Th2 0.249 0.742 0.173 (multiplicity 4)
Th3 0.269 0.082 0.673 (multiplicity 4)
Si1 0.283 0.248 0.930 (multiplicity 4)
Si2 0.355 0.578 0.456 (multiplicity 4)
Se1 0.246 0.581 0.907 (multiplicity 4)

---

(3)
Structure and computed powder XRD pattern of NaCdBi3 (DFT lattice parameters and positions (PBE); Cu Kα, 1.54184 Å).

Largest 10 diffraction maxima, in order of falling intensity, 2θ from 10° to 80°:
hkl 2 1 1, 31.85 deg, I = 100; hkl 0 1 1, 17.95 deg, I = 91; hkl -1 1 1, 22.20 deg, I = 59; hkl 0 2 2, 36.36 deg, I = 57; hkl 2 -1 2, 38.77 deg, I = 44; hkl 2 -2 0, 37.16 deg, I = 42; hkl -2 1 1, 31.87 deg, I = 32; hkl 0 3 1, 41.47 deg, I = 32; hkl 0 1 3, 40.13 deg, I = 32; hkl 0 2 1, 28.88 deg, I = 31

Crystal structure
a = 6.826 Å, b = 6.860 Å, c = 7.136 Å
α = 90.00°, β = 89.97°, γ = 89.96°
Space group P1 (No. 1)
Symmetry-distinct sites (fractional):
Na1 0.000 0.000 0.000 (multiplicity 1)
Na2 0.499 0.500 0.482 (multiplicity 1)
Cd1 0.499 0.156 0.104 (multiplicity 1)
Cd2 0.999 0.656 0.378 (multiplicity 1)
Bi1 0.000 0.358 0.679 (multiplicity 1)
Bi2 0.248 0.031 0.449 (multiplicity 1)
Bi3 0.252 0.532 0.033 (multiplicity 1)
Bi4 0.500 0.858 0.803 (multiplicity 1)
Bi5 0.748 0.531 0.033 (multiplicity 1)
Bi6 0.752 0.032 0.449 (multiplicity 1)

---

(4)
Structure and computed powder XRD pattern of Ho3Sc4Tl2 (DFT lattice parameters and positions (PBE); Cu Kα, 1.54184 Å).

Largest 10 diffraction maxima, in order of falling intensity, 2θ from 10° to 80°:
hkl 3 1 -2, 32.82 deg, I = 100; hkl 5 1 0, 32.93 deg, I = 99; hkl 2 0 2, 34.09 deg, I = 82; hkl 3 3 1, 35.68 deg, I = 74; hkl 3 3 -1, 32.49 deg, I = 59; hkl 0 2 0, 15.89 deg, I = 55; hkl 2 2 -1, 23.61 deg, I = 52; hkl 2 4 0, 34.62 deg, I = 49; hkl 1 3 -1, 28.18 deg, I = 49; hkl 1 1 -1, 16.69 deg, I = 38

Crystal structure
a = 14.276 Å, b = 11.153 Å, c = 6.233 Å
α = 90.00°, β = 100.81°, γ = 90.00°
Space group C2/c (No. 15)
Symmetry-distinct sites (fractional):
Ho1 0.000 0.033 0.250 (multiplicity 4)
Ho2 0.102 0.429 0.102 (multiplicity 8)
Sc1 0.077 0.267 0.599 (multiplicity 8)
Sc2 0.185 0.151 0.060 (multiplicity 8)
Tl1 0.227 0.109 0.545 (multiplicity 8)

---

(5)
Structure and computed powder XRD pattern of Ni10PdRh4 (DFT lattice parameters and positions (PBE); Cu Kα, 1.54184 Å).

Largest 10 diffraction maxima, in order of falling intensity, 2θ from 10° to 80°:
hkl 2 0 2, 44.37 deg, I = 100; hkl 3 1 -2, 43.40 deg, I = 37; hkl 4 2 -1, 43.52 deg, I = 37; hkl 5 1 0, 43.65 deg, I = 37; hkl 0 2 0, 25.18 deg, I = 14; hkl 2 2 -3, 63.71 deg, I = 11; hkl 4 4 -1, 63.87 deg, I = 11; hkl 6 2 1, 64.10 deg, I = 11; hkl 8 0 -2, 73.71 deg, I = 7; hkl 2 2 2, 51.70 deg, I = 2

Crystal structure
a = 11.038 Å, b = 7.076 Å, c = 4.839 Å
α = 90.00°, β = 100.78°, γ = 90.00°
Space group C2/m (No. 12)
Symmetry-distinct sites (fractional):
Ni1 0.000 0.168 0.000 (multiplicity 4)
Ni2 0.100 0.334 0.400 (multiplicity 8)
Ni3 0.201 0.167 0.800 (multiplicity 8)
Pd1 0.000 0.000 0.500 (multiplicity 2)
Rh1 0.100 0.500 0.897 (multiplicity 4)
Rh2 0.201 0.000 0.297 (multiplicity 4)

---

(6)
Structure and computed powder XRD pattern of Pb4SO8 (DFT lattice parameters and positions (PBE); Cu Kα, 1.54184 Å).

Largest 10 diffraction maxima, in order of falling intensity, 2θ from 10° to 80°:
hkl 1 2 2, 26.25 deg, I = 100; hkl 0 0 3, 25.51 deg, I = 79; hkl 1 2 -1, 29.49 deg, I = 60; hkl 0 2 0, 23.11 deg, I = 54; hkl 1 -2 1, 32.54 deg, I = 48; hkl 2 0 0, 31.84 deg, I = 47; hkl 1 -1 3, 34.06 deg, I = 45; hkl -1 1 2, 26.61 deg, I = 37; hkl 1 0 1, 16.94 deg, I = 37; hkl 1 0 0, 15.77 deg, I = 33

Crystal structure
a = 5.795 Å, b = 8.125 Å, c = 10.981 Å
α = 74.05°, β = 79.88°, γ = 77.87°
Space group P-1 (No. 2)
Symmetry-distinct sites (fractional):
Pb1 0.106 0.489 0.192 (multiplicity 2)
Pb2 0.215 0.082 0.557 (multiplicity 2)
Pb3 0.233 0.942 0.171 (multiplicity 2)
Pb4 0.255 0.600 0.448 (multiplicity 2)
S1 0.296 0.767 0.860 (multiplicity 2)
O1 0.027 0.250 0.714 (multiplicity 2)
O2 0.094 0.375 0.425 (multiplicity 2)
O3 0.139 0.818 0.754 (multiplicity 2)
O4 0.196 0.892 0.423 (multiplicity 2)
O5 0.222 0.900 0.937 (multiplicity 2)
O6 0.260 0.592 0.939 (multiplicity 2)
O7 0.379 0.639 0.242 (multiplicity 2)
O8 0.452 0.231 0.199 (multiplicity 2)

---

(7)
Structure and computed powder XRD pattern of Ac3NdB2N6 (DFT lattice parameters and positions (PBE); Cu Kα, 1.54184 Å).

Largest 10 diffraction maxima, in order of falling intensity, 2θ from 10° to 80°:
hkl 1 1 0, 30.68 deg, I = 100; hkl 0 1 2, 32.01 deg, I = 95; hkl 1 0 1, 22.03 deg, I = 80; hkl 2 0 2, 44.93 deg, I = 44; hkl 1 2 2, 55.39 deg, I = 39; hkl 0 2 1, 38.09 deg, I = 33; hkl 2 1 1, 49.68 deg, I = 23; hkl 3 0 0, 54.54 deg, I = 20; hkl 1 1 3, 51.48 deg, I = 20; hkl 3 1 2, 73.26 deg, I = 19

Crystal structure
a = 5.8283 Å, b = 5.8283 Å, c = 6.7159 Å
α = 90.00°, β = 90.00°, γ = 120.00°
Space group P-3m1 (No. 164)
Symmetry-distinct sites (fractional):
Ac1 0.0000 0.0000 0.0000 (multiplicity 1)
Ac2 0.3333 0.6667 0.6737 (multiplicity 2)
Nd1 0.0000 0.0000 0.5000 (multiplicity 1)
B1 0.3333 0.6667 0.2547 (multiplicity 2)
N1 0.1879 0.3758 0.2741 (multiplicity 6)

---

(8)
Structure and computed powder XRD pattern of LaSc2In (DFT lattice parameters and positions (PBE); Cu Kα, 1.54184 Å).

Largest 10 diffraction maxima, in order of falling intensity, 2θ from 10° to 80°:
hkl 1 1 2, 32.89 deg, I = 100; hkl 1 0 1, 21.13 deg, I = 34; hkl 2 0 0, 38.50 deg, I = 32; hkl 3 1 2, 66.11 deg, I = 28; hkl 2 0 4, 54.81 deg, I = 22; hkl 0 0 4, 37.47 deg, I = 17; hkl 1 1 6, 64.72 deg, I = 13; hkl 2 2 4, 68.97 deg, I = 11; hkl 2 2 0, 55.59 deg, I = 11; hkl 1 0 3, 33.94 deg, I = 11

Crystal structure
a = 4.676 Å, b = 4.676 Å, c = 9.601 Å
α = 90.00°, β = 90.00°, γ = 90.00°
Space group I-4m2 (No. 119)
Symmetry-distinct sites (fractional):
La1 0.000 0.000 0.000 (multiplicity 2)
Sc1 0.000 0.000 0.500 (multiplicity 2)
Sc2 0.000 0.500 0.750 (multiplicity 2)
In1 0.000 0.500 0.250 (multiplicity 2)

---

> What is the formula in the sixth record?

Pb4SO8